Record 1
The following is a theoretical XRD peak list of Li4CrFe3O8. It was derived from a crystal structure in the Materials Project, relaxed with PBE+U, using copper Kα.
Neutral-atom scattering factors, no anomalous dispersion.

Atomic structure:
```
data_Li4CrFe3O8
_chemical_formula_sum 'Li8 Cr2 Fe6 O16'
_symmetry_space_group_name_H-M 'P -1'
_symmetry_Int_Tables_number 2
_cell_length_a 5.185
_cell_length_b 5.963
_cell_length_c 10.753
_cell_angle_alpha 106.09
_cell_angle_beta 94.55
_cell_angle_gamma 106.71
loop_
_symmetry_equiv_pos_as_xyz
'x,y,z'
'-x,-y,-z'
loop_
_atom_site_label
_atom_site_type_symbol
_atom_site_fract_x
_atom_site_fract_y
_atom_site_fract_z
Li1 Li 0.000 0.063 0.374
Li2 Li 0.000 0.188 0.126
Li3 Li 0.001 0.688 0.125
Li4 Li 0.002 0.439 0.626
Cr1 Cr 0.500 0.125 0.250
Fe1 Fe 0.500 0.000 0.500
Fe2 Fe 0.500 0.250 0.000
Fe3 Fe 0.500 0.375 0.750
Fe4 Fe 0.500 0.500 0.500
O1 O 0.269 0.474 0.063
O2 O 0.271 0.225 0.564
O3 O 0.271 0.601 0.814
O4 O 0.271 0.851 0.314
O5 O 0.272 0.099 0.814
O6 O 0.272 0.349 0.314
O7 O 0.272 0.726 0.565
O8 O 0.273 0.976 0.066
```

Principal peaks in the range 2θ from 10° to 90°, by angle:
d/Å, intensity, h k l
4.892, 1000, 1 0 0
2.543, 431, 0 0 4
2.436, 131, 0 2 1
2.112, 818, 1 0 4
1.939, 145, 1 2 1
1.627, 94, 2 2 -3
1.495, 220, 2 2 1
1.491, 226, 1 -4 2
1.426, 145, 0 2 5
1.218, 101, 0 4 2


Record 2
The following is a theoretical XRD peak list of MnOF. It was derived from a crystal structure in the Materials Project, relaxed with PBE+U, using copper Kα.
Neutral-atom scattering factors, no anomalous dispersion.

Atomic structure:
```
data_MnOF
_chemical_formula_sum 'Mn8 O8 F8'
_symmetry_space_group_name_H-M 'P -1'
_symmetry_Int_Tables_number 2
_cell_length_a 4.766
_cell_length_b 5.725
_cell_length_c 10.379
_cell_angle_alpha 95.14
_cell_angle_beta 91.99
_cell_angle_gamma 94.75
loop_
_symmetry_equiv_pos_as_xyz
'x,y,z'
'-x,-y,-z'
loop_
_atom_site_label
_atom_site_type_symbol
_atom_site_fract_x
_atom_site_fract_y
_atom_site_fract_z
Mn1 Mn 0.000 0.000 0.000
Mn2 Mn 0.000 0.500 0.500
Mn3 Mn 0.022 0.247 0.737
Mn4 Mn 0.478 0.246 0.239
Mn5 Mn 0.500 0.000 0.500
Mn6 Mn 0.500 0.500 0.000
O1 O 0.180 0.246 0.572
O2 O 0.298 0.225 0.067
O3 O 0.307 0.977 0.327
O4 O 0.311 0.488 0.828
F1 F 0.175 0.738 0.092
F2 F 0.197 0.971 0.826
F3 F 0.205 0.473 0.334
F4 F 0.305 0.728 0.588
```

Principal peaks in the range 2θ from 10° to 90°, by angle:
d/Å, intensity, h k l
3.540, 1000, -1 1 1
3.226, 821, 1 1 1
2.591, 452, 0 2 -2
2.582, 182, 0 0 4
2.569, 196, 1 1 -3
1.808, 158, 1 -3 1
1.803, 150, 2 -2 2
1.785, 149, 2 0 -4
1.770, 170, -2 2 2
1.713, 350, 1 3 -1


Record 3
The following is a theoretical XRD peak list of P4WO12. It was derived from a crystal structure in the Materials Project, relaxed with PBE+U, using copper Kα.
Neutral-atom scattering factors, no anomalous dispersion.

Atomic structure:
```
data_P4WO12
_chemical_formula_sum 'P16 W4 O48'
_symmetry_space_group_name_H-M 'C 1 2/m 1'
_symmetry_Int_Tables_number 12
_cell_length_a 17.185
_cell_length_b 12.389
_cell_length_c 5.380
_cell_angle_alpha 90.00
_cell_angle_beta 100.54
_cell_angle_gamma 90.00
loop_
_symmetry_equiv_pos_as_xyz
'x,y,z'
'-x,-y,-z'
'-x,y,-z'
'x,-y,z'
'x+1/2,y+1/2,z'
'-x+1/2,-y+1/2,-z'
'-x+1/2,y+1/2,-z'
'x+1/2,-y+1/2,z'
loop_
_atom_site_label
_atom_site_type_symbol
_atom_site_fract_x
_atom_site_fract_y
_atom_site_fract_z
P1 P 0.074 0.207 0.181
P2 P 0.176 0.378 0.461
W1 W 0.250 0.250 0.000
O1 O 0.000 0.264 0.000
O2 O 0.057 0.112 0.322
O3 O 0.097 0.315 0.369
O4 O 0.140 0.201 0.020
O5 O 0.146 0.500 0.408
O6 O 0.201 0.368 0.747
O7 O 0.240 0.352 0.311
```

Principal peaks in the range 2θ from 10° to 90°, by angle:
d/Å, intensity, h k l
8.448, 858, 2 0 0
6.195, 1000, 0 2 0
4.995, 246, 2 2 0
4.154, 215, 2 0 1
4.023, 531, 0 2 1
3.641, 288, 4 0 -1
3.490, 151, 4 2 0
3.450, 237, 2 2 1
3.139, 218, 4 2 -1
2.671, 320, 0 4 1


Record 4
The following is a theoretical XRD peak list of Li4V3O8. It was derived from a crystal structure in the Materials Project, relaxed with PBE+U, using copper Kα.
Neutral-atom scattering factors, no anomalous dispersion.

Atomic structure:
```
data_Li4V3O8
_chemical_formula_sum 'Li12 V9 O24'
_symmetry_space_group_name_H-M 'R -3'
_symmetry_Int_Tables_number 148
_symmetry_space_group_name_Hall '-R 3'
_cell_length_a 5.8370
_cell_length_b 5.8370
_cell_length_c 14.6071
_cell_angle_alpha 90.00
_cell_angle_beta 90.00
_cell_angle_gamma 120.00
loop_
_atom_site_label
_atom_site_type_symbol
_atom_site_fract_x
_atom_site_fract_y
_atom_site_fract_z
Li1 Li 0.0000 0.0000 0.0000
Li2 Li 0.0000 0.5000 0.5000
V1 V 0.0000 0.5000 0.0000
O1 O 0.0000 0.0000 0.2543
O2 O 0.0148 0.5236 0.2629
```

Principal peaks in the range 2θ from 10° to 90°, by angle:
d/Å, intensity, h k l
4.869, 1000, 0 0 3
4.777, 197, 1 0 1
4.157, 193, 0 1 2
2.490, 301, 0 2 1
2.078, 830, 0 2 4
1.609, 145, 0 2 7
1.480, 207, 2 0 8
1.459, 217, 2 2 0
1.398, 122, 4 -2 3
1.194, 94, 4 0 4


Record 5
The following is a theoretical XRD peak list of MgV3O4F4. It was derived from a crystal structure in the Materials Project, relaxed with PBE+U, using copper Kα.
Neutral-atom scattering factors, no anomalous dispersion.

Atomic structure:
```
data_MgV3O4F4
_chemical_formula_sum 'Mg1 V3 O4 F4'
_symmetry_space_group_name_H-M 'P 1 m 1'
_symmetry_Int_Tables_number 6
_cell_length_a 4.801
_cell_length_b 3.121
_cell_length_c 9.819
_cell_angle_alpha 90.00
_cell_angle_beta 92.25
_cell_angle_gamma 90.00
loop_
_symmetry_equiv_pos_as_xyz
'x,y,z'
'x,-y,z'
loop_
_atom_site_label
_atom_site_type_symbol
_atom_site_fract_x
_atom_site_fract_y
_atom_site_fract_z
Mg1 Mg 0.000 0.000 0.000
V1 V 0.001 0.500 0.292
V2 V 0.490 0.500 0.751
V3 V 0.967 0.000 0.544
O1 O 0.168 0.500 0.632
O2 O 0.182 0.000 0.384
O3 O 0.687 0.000 0.678
O4 O 0.780 0.500 0.449
F1 F 0.188 0.500 0.101
F2 F 0.303 0.000 0.866
F3 F 0.784 0.500 0.918
F4 F 0.799 0.000 0.179
```

Principal peaks in the range 2θ from 10° to 90°, by angle:
d/Å, intensity, h k l
4.797, 898, 1 0 0
4.378, 705, 1 0 -1
4.245, 1000, 1 0 1
3.365, 297, 1 0 2
2.753, 434, 1 0 -3
2.633, 493, 0 1 2
2.541, 307, 1 1 -1
2.288, 883, 1 1 2
1.792, 301, 2 1 -2
1.755, 588, 2 1 2